Entry 1:
The following is a computed powder diffractogram of CeSi3Pt. It was derived from a structure optimized by DFT (GGA-PBE), using Cu Kα.
Neutral-atom scattering factors, no anomalous dispersion.

Largest 10 diffraction maxima, most intense first, 2θ = 5–70°:
2.567 Å, 2θ = 34.96°, I 100; 3.053 Å, 2θ = 29.25°, I 66; 1.652 Å, 2θ = 55.63°, I 53; 3.936 Å, 2θ = 22.59°, I 51; 2.159 Å, 2θ = 41.84°, I 48; 2.574 Å, 2θ = 34.85°, I 44; 4.788 Å, 2θ = 18.53°, I 22; 1.751 Å, 2θ = 52.26°, I 18; 1.360 Å, 2θ = 69.08°, I 16; 1.527 Å, 2θ = 60.66°, I 16

Structural model:
```
data_CeSi3Pt
_chemical_formula_sum 'Ce2 Si6 Pt2'
_cell_length_a 4.3180
_cell_length_b 4.3180
_cell_length_c 9.5753
_cell_angle_alpha 90.00
_cell_angle_beta 90.00
_cell_angle_gamma 90.00
_symmetry_space_group_name_H-M 'I 4 m m'
_symmetry_Int_Tables_number 107
_symmetry_space_group_name_Hall 'I 4 -2'
loop_
_atom_site_label
_atom_site_type_symbol
_atom_site_fract_x
_atom_site_fract_y
_atom_site_fract_z
Ce1 Ce 0.0000 0.0000 0.0000
Si1 Si 0.0000 0.0000 0.3988
Si2 Si 0.0000 0.5000 0.2643
Pt1 Pt 0.0000 0.0000 0.6503
```

=====

Entry 2:
The following is a computed powder diffractogram of CeSi2Pt2. It was derived from a structure optimized by DFT (GGA-PBE), using Cu Kα.
Neutral-atom scattering factors, no anomalous dispersion.

Largest 10 diffraction maxima, most intense first, 2θ = 5–70°:
2.569 Å, 2θ = 34.93°, I 100; 2.882 Å, 2θ = 31.03°, I 89; 2.132 Å, 2θ = 42.39°, I 79; 2.595 Å, 2θ = 34.56°, I 75; 1.647 Å, 2θ = 55.80°, I 38; 3.218 Å, 2θ = 27.72°, I 35; 1.903 Å, 2θ = 47.80°, I 30; 3.270 Å, 2θ = 27.27°, I 28; 1.508 Å, 2θ = 61.51°, I 27; 1.368 Å, 2θ = 68.59°, I 27

Structural model:
```
data_CeSi2Pt2
_chemical_formula_sum 'Ce2 Si4 Pt4'
_cell_length_a 4.2643
_cell_length_b 4.2643
_cell_length_c 9.8112
_cell_angle_alpha 90.00
_cell_angle_beta 90.00
_cell_angle_gamma 90.00
_symmetry_space_group_name_H-M 'P 4/n m m'
_symmetry_Int_Tables_number 129
loop_
_symmetry_equiv_pos_as_xyz
'x,y,z'
'-x,-y,-z'
'-y+1/2,x,z'
'y+1/2,-x,-z'
'-x+1/2,-y+1/2,z'
'x+1/2,y+1/2,-z'
'y,-x+1/2,z'
'-y,x+1/2,-z'
'x+1/2,-y,-z'
'-x+1/2,y,z'
'-y,-x,-z'
'y,x,z'
'-x,y+1/2,-z'
'x,-y+1/2,z'
'y+1/2,x+1/2,-z'
'-y+1/2,-x+1/2,z'
loop_
_atom_site_label
_atom_site_type_symbol
_atom_site_fract_x
_atom_site_fract_y
_atom_site_fract_z
Ce1 Ce 0.2500 0.2500 0.2462
Si1 Si 0.2500 0.2500 0.6324
Si2 Si 0.2500 0.7500 0.0000
Pt1 Pt 0.2500 0.2500 0.8791
Pt2 Pt 0.2500 0.7500 0.5000
```

=====

Entry 3:
The following is a computed powder diffractogram of CeSi2Pt. It was derived from a structure optimized by DFT (GGA-PBE), using Cu Kα.
Neutral-atom scattering factors, no anomalous dispersion.

Largest 10 diffraction maxima, most intense first, 2θ = 5–70°:
2.963 Å, 2θ = 30.16°, I 100; 2.627 Å, 2θ = 34.13°, I 60; 2.974 Å, 2θ = 30.05°, I 52; 8.331 Å, 2θ = 10.62°, I 37; 1.651 Å, 2θ = 55.66°, I 30; 2.135 Å, 2θ = 42.34°, I 27; 2.124 Å, 2θ = 42.57°, I 27; 2.647 Å, 2θ = 33.87°, I 23; 1.734 Å, 2θ = 52.79°, I 22; 2.324 Å, 2θ = 38.74°, I 21

Structural model:
```
data_CeSi2Pt
_chemical_formula_sum 'Ce4 Si8 Pt4'
_cell_length_a 4.2693
_cell_length_b 16.6610
_cell_length_c 4.2470
_cell_angle_alpha 90.00
_cell_angle_beta 90.00
_cell_angle_gamma 90.00
_symmetry_space_group_name_H-M 'C m c m'
_symmetry_Int_Tables_number 63
_symmetry_space_group_name_Hall '-C 2c 2'
loop_
_atom_site_label
_atom_site_type_symbol
_atom_site_fract_x
_atom_site_fract_y
_atom_site_fract_z
Ce1 Ce 0.0000 0.1036 0.2500
Si1 Si 0.0000 0.2493 0.7500
Si2 Si 0.0000 0.4655 0.2500
Pt1 Pt 0.0000 0.3210 0.2500
```

=====

Entry 4:
The following is a computed powder diffractogram of CeSiPt2. It was derived from a structure optimized by DFT (GGA-PBE), using Cu Kα.
Neutral-atom scattering factors, no anomalous dispersion.

Largest 10 diffraction maxima, most intense first, 2θ = 5–70°:
2.610 Å, 2θ = 34.36°, I 100; 3.130 Å, 2θ = 28.52°, I 19; 2.066 Å, 2θ = 43.81°, I 17; 2.495 Å, 2θ = 36.00°, I 16; 1.997 Å, 2θ = 45.43°, I 16; 1.960 Å, 2θ = 46.32°, I 12; 1.436 Å, 2θ = 64.95°, I 11; 1.849 Å, 2θ = 49.28°, I 9; 4.694 Å, 2θ = 18.90°, I 8; 3.366 Å, 2θ = 26.48°, I 8

Structural model:
```
data_CeSiPt2
_chemical_formula_sum 'Ce4 Si4 Pt8'
_cell_length_a 3.9930
_cell_length_b 18.7780
_cell_length_c 4.1330
_cell_angle_alpha 90.00
_cell_angle_beta 90.00
_cell_angle_gamma 90.00
_symmetry_space_group_name_H-M 'C m c m'
_symmetry_Int_Tables_number 63
_symmetry_space_group_name_Hall '-C 2c 2'
loop_
_atom_site_label
_atom_site_type_symbol
_atom_site_fract_x
_atom_site_fract_y
_atom_site_fract_z
Ce1 Ce 0.0000 0.1008 0.2500
Si1 Si 0.0000 0.3247 0.2500
Pt1 Pt 0.0000 0.2488 0.7500
Pt2 Pt 0.0000 0.4511 0.2500
```

=====

Entry 5:
The following is a computed powder diffractogram of Ce3Si3Pt. It was derived from a structure optimized by DFT (GGA-PBE), using Cu Kα.
Neutral-atom scattering factors, no anomalous dispersion.

Largest 10 diffraction maxima, most intense first, 2θ = 5–70°:
2.788 Å, 2θ = 32.11°, I 100; 2.753 Å, 2θ = 32.53°, I 52; 3.398 Å, 2θ = 26.23°, I 33; 9.135 Å, 2θ = 9.68°, I 32; 2.201 Å, 2θ = 41.01°, I 24; 1.643 Å, 2θ = 55.97°, I 22; 2.093 Å, 2θ = 43.22°, I 21; 2.047 Å, 2θ = 44.24°, I 19; 2.465 Å, 2θ = 36.46°, I 18; 2.110 Å, 2θ = 42.85°, I 15

Structural model:
```
data_Ce3Si3Pt
_chemical_formula_sum 'Ce6 Si6 Pt2'
_cell_length_a 4.0947
_cell_length_b 4.1864
_cell_length_c 18.2701
_cell_angle_alpha 90.00
_cell_angle_beta 90.00
_cell_angle_gamma 90.00
_symmetry_space_group_name_H-M 'I m m 2'
_symmetry_Int_Tables_number 44
_symmetry_space_group_name_Hall 'I 2 -2'
loop_
_atom_site_label
_atom_site_type_symbol
_atom_site_fract_x
_atom_site_fract_y
_atom_site_fract_z
Ce1 Ce 0.0000 0.0000 0.0000
Ce2 Ce 0.0000 0.0000 0.3704
Ce3 Ce 0.0000 0.5000 0.6846
Si1 Si 0.0000 0.0000 0.5449
Si2 Si 0.0000 0.0000 0.8258
Si3 Si 0.0000 0.5000 0.1197
Pt1 Pt 0.0000 0.5000 0.2502
```